Starting from a crystal structure in Alexandria, relaxed with PBE+U, the PXRD pattern of Li2MnSbO4 was calculated for copper Kα.

Top 10 peaks for 2θ = 10–80°, most intense first:
d (Å), 2θ/deg, I/Imax
5.191, 17.1, 100
2.305, 39.1, 47
2.800, 32.0, 21
2.204, 40.9, 21
2.672, 33.5, 20
2.783, 32.2, 17
2.596, 34.6, 16
5.267, 16.8, 15
1.599, 57.6, 13
1.587, 58.1, 13

Structure:
```
Li2MnSbO4
1.0
5.484 -3.211 0.000
5.484 3.211 0.000
-3.940 0.000 5.323
Li Mn Sb O
4 2 2 8
Direct
0.000 0.000 0.000
0.084 0.084 0.701
0.114 0.503 0.731
0.503 0.114 0.731
0.097 0.581 0.242
0.581 0.097 0.242
0.583 0.583 0.749
0.596 0.596 0.253
0.317 0.317 0.992
0.355 0.355 0.522
0.355 0.818 0.549
0.360 0.797 0.980
0.797 0.360 0.980
0.814 0.814 0.984
0.818 0.355 0.549
0.831 0.831 0.458
```